Theoretical X-ray powder pattern
Compound: Mn3Fe2Co3O16
Radiation: Cu Kα, 1.54184 Å
Structure: a cell relaxed with GGA+U

The 6 most intense peaks (10 to 80 degrees two-theta), by angle:
19.82°, I = 100; 20.43°, I = 82; 20.64°, I = 46; 37.73°, I = 60; 48.09°, I = 26; 65.65°, I = 35

Structural model:
Cell lengths 5.690, 5.690, 8.961 Å; angles 91.08, 91.08, 60.16 degrees
Fractional positions:
Mn (0.000, 0.000, 0.000)
Mn (0.168, 0.663, 0.509)
Mn (0.663, 0.168, 0.509)
Fe (0.165, 0.165, 0.733)
Fe (0.499, 0.499, 0.222)
Co (0.500, 0.999, 0.005)
Co (0.665, 0.665, 0.515)
Co (0.999, 0.500, 0.005)
O (0.159, 0.667, 0.110)
O (0.168, 0.168, 0.112)
O (0.310, 0.310, 0.882)
O (0.317, 0.873, 0.876)
O (0.349, 0.349, 0.382)
O (0.359, 0.791, 0.387)
O (0.500, 0.500, 0.620)
O (0.501, 0.993, 0.616)
O (0.667, 0.159, 0.110)
O (0.671, 0.671, 0.104)
O (0.791, 0.359, 0.387)
O (0.829, 0.829, 0.403)
O (0.829, 0.829, 0.895)
O (0.873, 0.317, 0.876)
O (0.993, 0.501, 0.616)
O (0.997, 0.997, 0.622)